1.
This entry pairs a crystal structure of AgHW with its theoretical powder XRD pattern. Radiation: Cu Kα. Structure: a cell relaxed with GGA-PBE.

Peak list (8 most intense, 2θ from 10° to 80°, by angle)
2θ/deg  I_rel  hkl
35.96  1000  0 0 4
37.69  586  1 1 0
38.01  719  0 1 2
38.19  745  1 0 2
39.89  559  1 1 2
40.14  761  1 0 -2
40.31  748  0 1 -2
59.98  251  1 -1 0

Structure:
Unit cell a=2.855 b=2.857 c=10.060 alpha=84.13 beta=84.52 gamma=65.38
Space group P-1 (No. 2)
Symmetry-distinct sites (fractional):
Ag: 0.161 0.158 0.119 (multiplicity 2)
H: 0.451 0.464 0.298 (multiplicity 2)
W: 0.227 0.216 0.609 (multiplicity 2)

2.
This entry pairs a crystal structure of BeSi2PdSe with its theoretical powder XRD pattern. Radiation: Cu Kα. Structure: a cell relaxed with GGA-PBE.

Peak list (8 most intense, 2θ from 10° to 80°, by angle)
2θ/deg  I_rel  hkl
18.69  326  0 0 1
30.21  257  1 1 0
35.76  1000  1 1 1
37.90  234  0 0 2
43.25  319  2 0 0
58.84  251  2 0 2
67.06  154  1 1 3
74.44  227  3 1 1

Structure:
Unit cell a=4.184 b=4.184 c=4.748 alpha=90.00 beta=90.00 gamma=90.00
Space group P4/mmm (No. 123)
Symmetry-distinct sites (fractional):
Be: 0.000 0.000 0.000 (multiplicity 1)
Si: 0.000 0.500 0.000 (multiplicity 2)
Pd: 0.500 0.500 0.500 (multiplicity 1)
Se: 0.000 0.000 0.500 (multiplicity 1)

3.
This entry pairs a crystal structure of LiCd5Pd2 with its theoretical powder XRD pattern. Radiation: Cu Kα. Structure: a cell relaxed with GGA-PBE.

Peak list (8 most intense, 2θ from 10° to 80°, by angle)
2θ/deg  I_rel  hkl
37.20  1000  0 4 1
38.04  168  2 1 1
38.61  88  2 3 0
41.81  211  0 0 2
43.91  256  2 4 0
62.24  174  2 4 2
73.31  128  0 4 3
76.25  115  2 8 1

Structure:
Unit cell a=5.827 b=11.673 c=4.321 alpha=90.00 beta=90.00 gamma=90.00
Space group Pbam (No. 55)
Symmetry-distinct sites (fractional):
Li: 0.000 0.000 0.000 (multiplicity 2)
Cd: 0.000 0.500 0.000 (multiplicity 2)
Cd: 0.054 0.243 0.000 (multiplicity 4)
Cd: 0.202 0.885 0.500 (multiplicity 4)
Pd: 0.208 0.628 0.500 (multiplicity 4)

4.
This entry pairs a crystal structure of Sm10In3Sn3 with its theoretical powder XRD pattern. Radiation: Cu Kα. Structure: a cell relaxed with GGA-PBE.

Peak list (8 most intense, 2θ from 10° to 80°, by angle)
2θ/deg  I_rel  hkl
28.53  195  1 0 2
29.71  329  2 1 0
32.55  1000  2 1 1
32.75  753  1 1 2
33.80  350  3 0 0
47.78  180  2 2 2
50.38  293  2 1 3
64.67  180  5 0 2

Structure:
Unit cell a=9.1861 b=9.1861 c=6.8070 alpha=90.00 beta=90.00 gamma=120.00
Space group P-62m (No. 189)
Symmetry-distinct sites (fractional):
Sm: 0.0000 0.2371 0.0000 (multiplicity 3)
Sm: 0.0000 0.7596 0.5000 (multiplicity 3)
Sm: 0.3333 0.6667 0.2494 (multiplicity 4)
In: 0.0000 0.5992 0.0000 (multiplicity 3)
Sn: 0.0000 0.3958 0.5000 (multiplicity 3)

5.
This entry pairs a crystal structure of Ba3Na2Cd2Au4 with its theoretical powder XRD pattern. Radiation: Cu Kα. Structure: a cell relaxed with GGA-PBE.

Peak list (8 most intense, 2θ from 10° to 80°, by angle)
2θ/deg  I_rel  hkl
23.34  532  0 1 2
26.37  211  0 1 3
30.15  1000  0 1 4
36.09  877  1 1 0
42.54  209  1 1 4
47.72  281  2 0 4
58.48  296  1 1 8
61.26  266  1 2 4

Structure:
Unit cell a=4.9772 b=4.9772 c=16.3296 alpha=90.00 beta=90.00 gamma=120.00
Space group P-3m1 (No. 164)
Symmetry-distinct sites (fractional):
Ba: 0.0000 0.0000 0.0000 (multiplicity 1)
Ba: 0.0000 0.0000 0.2675 (multiplicity 2)
Na: 0.3333 0.6667 0.5581 (multiplicity 2)
Cd: 0.3333 0.6667 0.1370 (multiplicity 2)
Au: 0.3333 0.6667 0.3706 (multiplicity 2)
Au: 0.3333 0.6667 0.8693 (multiplicity 2)

6.
This entry pairs a crystal structure of Pr3Tm2Hg6 with its theoretical powder XRD pattern. Radiation: Cu Kα. Structure: a cell relaxed with GGA-PBE.

Peak list (8 most intense, 2θ from 10° to 80°, by angle)
2θ/deg  I_rel  hkl
28.70  1000  1 1 2
31.61  340  1 0 9
32.65  768  1 1 6
35.80  612  1 1 8
36.14  727  1 0 11
40.26  887  2 0 0
55.20  433  2 1 11
58.25  333  2 2 0

Structure:
Unit cell a=4.481 b=4.481 c=32.857 alpha=90.00 beta=90.00 gamma=90.00
Space group I4/mmm (No. 139)
Symmetry-distinct sites (fractional):
Pr: 0.000 0.000 0.000 (multiplicity 2)
Pr: 0.000 0.000 0.181 (multiplicity 4)
Tm: 0.000 0.000 0.370 (multiplicity 4)
Hg: 0.000 0.000 0.279 (multiplicity 4)
Hg: 0.000 0.500 0.070 (multiplicity 8)

7.
This entry pairs a crystal structure of Ca5Si4 with its theoretical powder XRD pattern. Radiation: Cu Kα. Structure: a cell relaxed with GGA-PBE.

Peak list (8 most intense, 2θ from 10° to 80°, by angle)
2θ/deg  I_rel  hkl
28.03  220  2 0 -3
31.14  998  1 1 2
31.80  1000  3 1 -1
33.59  829  1 1 -3
37.39  432  3 1 -3
37.56  346  3 1 1
39.41  564  0 2 0
40.86  209  4 0 1

Structure:
Unit cell a=10.710 b=4.572 c=9.886 alpha=90.00 beta=111.53 gamma=90.00
Space group C2/m (No. 12)
Symmetry-distinct sites (fractional):
Ca: 0.000 0.000 0.000 (multiplicity 2)
Ca: 0.103 0.000 0.396 (multiplicity 4)
Ca: 0.243 0.000 0.824 (multiplicity 4)
Si: 0.048 0.500 0.826 (multiplicity 4)
Si: 0.105 0.500 0.609 (multiplicity 4)